# 1
Diffraction record for Mn4AlGeH. The X-ray diffraction stick pattern is computed, not measured: it uses DFT lattice parameters and positions (GGA-PBE) and λ = 1.5418 Å (Cu Kα).

Peak list (8 most intense, 2θ from 15° to 90°, in order of rising 2θ)
two_theta  I (rel.)
37.95  78
38.08  77
42.13  70
43.21  30
45.38  89
45.49  88
50.72  100
67.99  55

Structural model:
```
data_Mn4AlGeH
_chemical_formula_sum 'Mn8 Al2 Ge2 H2'
_cell_length_a 6.918
_cell_length_b 6.918
_cell_length_c 5.101
_cell_angle_alpha 90.00
_cell_angle_beta 90.00
_cell_angle_gamma 136.90
_symmetry_space_group_name_H-M 'P 1'
_symmetry_Int_Tables_number 1
_symmetry_space_group_name_Hall 'P 1'
loop_
_atom_site_label
_atom_site_fract_x
_atom_site_fract_y
_atom_site_fract_z
Mn1 0.000 0.500 0.000
Mn2 0.000 0.500 0.500
Mn3 0.078 0.922 0.750
Mn4 0.415 0.585 0.750
Mn5 0.500 0.000 0.000
Mn6 0.500 0.000 0.500
Mn7 0.585 0.415 0.250
Mn8 0.922 0.078 0.250
Al1 0.391 0.609 0.250
Al2 0.609 0.391 0.750
Ge1 0.113 0.887 0.250
Ge2 0.887 0.113 0.750
H1 0.230 0.770 0.750
H2 0.770 0.230 0.250
```

=====

# 2
Diffraction record for Pr2Er3Tl3. The X-ray diffraction stick pattern is computed, not measured: it uses DFT lattice parameters and positions (GGA-PBE) and λ = 1.5418 Å (Cu Kα).

Peak list (8 most intense, 2θ from 15° to 90°, in order of rising 2θ)
two_theta  I (rel.)
31.81  100
35.45  19
36.23  18
38.94  14
51.59  13
61.38  16
62.41  15
66.47  12

Structural model:
```
data_Pr2Er3Tl3
_chemical_formula_sum 'Pr2 Er3 Tl3'
_cell_length_a 4.959
_cell_length_b 5.064
_cell_length_c 9.253
_cell_angle_alpha 90.00
_cell_angle_beta 90.00
_cell_angle_gamma 90.00
_symmetry_space_group_name_H-M 'P 1'
_symmetry_Int_Tables_number 1
_symmetry_space_group_name_Hall 'P 1'
loop_
_atom_site_label
_atom_site_fract_x
_atom_site_fract_y
_atom_site_fract_z
Pr1 0.000 0.000 0.246
Pr2 0.000 0.000 0.754
Er1 0.500 0.000 0.500
Er2 0.500 0.500 0.229
Er3 0.500 0.500 0.771
Tl1 0.000 0.500 0.000
Tl2 0.000 0.500 0.500
Tl3 0.500 0.000 0.000
```

=====

# 3
Diffraction record for Tb4Pr2Ho2Er. The X-ray diffraction stick pattern is computed, not measured: it uses DFT lattice parameters and positions (GGA-PBE) and λ = 1.5418 Å (Cu Kα).

Peak list (8 most intense, 2θ from 15° to 90°, in order of rising 2θ)
two_theta  I (rel.)
29.66  42
31.12  59
31.70  100
32.33  94
42.55  16
48.19  17
55.33  21
56.55  19

Structural model:
```
data_Tb4Pr2Ho2Er
_chemical_formula_sum 'Tb4 Pr2 Ho2 Er1'
_cell_length_a 6.029
_cell_length_b 6.650
_cell_length_c 8.589
_cell_angle_alpha 79.56
_cell_angle_beta 70.29
_cell_angle_gamma 65.40
_symmetry_space_group_name_H-M 'P 1'
_symmetry_Int_Tables_number 1
_symmetry_space_group_name_Hall 'P 1'
loop_
_atom_site_label
_atom_site_fract_x
_atom_site_fract_y
_atom_site_fract_z
Tb1 0.112 0.124 0.266
Tb2 0.243 0.570 0.385
Tb3 0.757 0.430 0.615
Tb4 0.888 0.876 0.734
Pr1 0.231 0.324 0.841
Pr2 0.769 0.676 0.159
Ho1 0.324 0.770 0.945
Ho2 0.676 0.230 0.055
Er1 0.500 0.000 0.500
```

=====

# 4
Diffraction record for HoAsS. The X-ray diffraction stick pattern is computed, not measured: it uses DFT lattice parameters and positions (GGA-PBE) and λ = 1.5418 Å (Cu Kα).

Peak list (8 most intense, 2θ from 15° to 90°, in order of rising 2θ)
two_theta  I (rel.)
25.61  82
31.58  38
34.92  43
39.61  100
47.71  32
54.92  21
58.35  24
83.32  20

Structural model:
```
data_HoAsS
_chemical_formula_sum 'Ho2 As2 S2'
_cell_length_a 3.813
_cell_length_b 3.813
_cell_length_c 8.496
_cell_angle_alpha 90.00
_cell_angle_beta 90.00
_cell_angle_gamma 90.00
_symmetry_space_group_name_H-M 'P 1'
_symmetry_Int_Tables_number 1
_symmetry_space_group_name_Hall 'P 1'
loop_
_atom_site_label
_atom_site_fract_x
_atom_site_fract_y
_atom_site_fract_z
Ho1 0.250 0.250 0.209
Ho2 0.750 0.750 0.791
As1 0.250 0.750 0.500
As2 0.750 0.250 0.500
S1 0.250 0.250 0.874
S2 0.750 0.750 0.126
```

=====

# 5
Diffraction record for KNa2YCl6. The X-ray diffraction stick pattern is computed, not measured: it uses DFT lattice parameters and positions (GGA-PBE) and λ = 1.5418 Å (Cu Kα).

Peak list (8 most intense, 2θ from 15° to 90°, in order of rising 2θ)
two_theta  I (rel.)
16.84  72
23.07  45
28.29  100
34.06  27
37.14  91
42.54  30
43.50  58
48.85  24

Structural model:
```
data_KNa2YCl6
_chemical_formula_sum 'K1 Na2 Y1 Cl6'
_cell_length_a 7.748
_cell_length_b 7.748
_cell_length_c 7.748
_cell_angle_alpha 55.41
_cell_angle_beta 55.41
_cell_angle_gamma 55.41
_symmetry_space_group_name_H-M 'P 1'
_symmetry_Int_Tables_number 1
_symmetry_space_group_name_Hall 'P 1'
loop_
_atom_site_label
_atom_site_fract_x
_atom_site_fract_y
_atom_site_fract_z
K1 0.000 0.000 0.000
Na1 0.287 0.287 0.287
Na2 0.800 0.800 0.800
Y1 0.484 0.484 0.484
Cl1 0.095 0.659 0.436
Cl2 0.229 0.567 0.865
Cl3 0.436 0.095 0.659
Cl4 0.567 0.865 0.229
Cl5 0.659 0.436 0.095
Cl6 0.865 0.229 0.567
```

=====

# 6
Diffraction record for Cs2PuAgO6. The X-ray diffraction stick pattern is computed, not measured: it uses DFT lattice parameters and positions (GGA-PBE) and λ = 1.5418 Å (Cu Kα).

Peak list (8 most intense, 2θ from 15° to 90°, in order of rising 2θ)
two_theta  I (rel.)
15.50  72
21.69  60
27.01  100
34.32  62
34.90  31
44.20  41
47.71  20
52.57  46

Structural model:
```
data_Cs2PuAgO6
_chemical_formula_sum 'Cs2 Pu1 Ag1 O6'
_cell_length_a 6.603
_cell_length_b 6.603
_cell_length_c 5.876
_cell_angle_alpha 90.00
_cell_angle_beta 90.00
_cell_angle_gamma 120.00
_symmetry_space_group_name_H-M 'P 1'
_symmetry_Int_Tables_number 1
_symmetry_space_group_name_Hall 'P 1'
loop_
_atom_site_label
_atom_site_fract_x
_atom_site_fract_y
_atom_site_fract_z
Cs1 0.333 0.667 0.252
Cs2 0.667 0.333 0.748
Pu1 0.000 0.000 0.500
Ag1 0.000 0.000 0.000
O1 0.138 0.276 0.708
O2 0.138 0.862 0.708
O3 0.276 0.138 0.292
O4 0.724 0.862 0.708
O5 0.862 0.138 0.292
O6 0.862 0.724 0.292
```

=====

# 7
Diffraction record for NaCu2AgCl4. The X-ray diffraction stick pattern is computed, not measured: it uses DFT lattice parameters and positions (GGA-PBE) and λ = 1.5418 Å (Cu Kα).

Peak list (8 most intense, 2θ from 15° to 90°, in order of rising 2θ)
two_theta  I (rel.)
17.38  24
26.85  100
44.10  41
45.48  21
51.16  14
53.60  26
70.83  10
83.08  11

Structural model:
```
data_NaCu2AgCl4
_chemical_formula_sum 'Na1 Cu2 Ag1 Cl4'
_cell_length_a 7.197
_cell_length_b 7.197
_cell_length_c 7.197
_cell_angle_alpha 133.85
_cell_angle_beta 133.85
_cell_angle_gamma 67.32
_symmetry_space_group_name_H-M 'P 1'
_symmetry_Int_Tables_number 1
_symmetry_space_group_name_Hall 'P 1'
loop_
_atom_site_label
_atom_site_fract_x
_atom_site_fract_y
_atom_site_fract_z
Na1 0.000 0.000 0.000
Cu1 0.250 0.750 0.500
Cu2 0.750 0.250 0.500
Ag1 0.500 0.500 0.000
Cl1 0.110 0.110 0.511
Cl2 0.401 0.890 0.000
Cl3 0.599 0.599 0.489
Cl4 0.890 0.401 0.000
```

=====

# 8
Diffraction record for LaY2ScSe6. The X-ray diffraction stick pattern is computed, not measured: it uses DFT lattice parameters and positions (GGA-PBE) and λ = 1.5418 Å (Cu Kα).

Peak list (8 most intense, 2θ from 15° to 90°, in order of rising 2θ)
two_theta  I (rel.)
16.88  30
23.26  30
28.33  100
34.15  27
37.41  76
42.57  24
43.40  56
49.36  31

Structural model:
```
data_LaY2ScSe6
_chemical_formula_sum 'La1 Y2 Sc1 Se6'
_cell_length_a 7.675
_cell_length_b 7.675
_cell_length_c 7.675
_cell_angle_alpha 56.14
_cell_angle_beta 56.14
_cell_angle_gamma 56.14
_symmetry_space_group_name_H-M 'P 1'
_symmetry_Int_Tables_number 1
_symmetry_space_group_name_Hall 'P 1'
loop_
_atom_site_label
_atom_site_fract_x
_atom_site_fract_y
_atom_site_fract_z
La1 0.000 0.000 0.000
Y1 0.293 0.293 0.293
Y2 0.800 0.800 0.800
Sc1 0.489 0.489 0.489
Se1 0.096 0.676 0.417
Se2 0.218 0.586 0.876
Se3 0.417 0.096 0.676
Se4 0.586 0.876 0.218
Se5 0.676 0.417 0.096
Se6 0.876 0.218 0.586
```

=====

> Which formula does entry 2 have?

Pr2Er3Tl3